# 1
This entry pairs a crystal structure of Pu6As4H5 with its simulated X-ray powder pattern. Radiation: Cu Kα X-rays. Structure: the PBE geometry in Alexandria.
Neutral-atom scattering factors, no anomalous dispersion.

Top 10 peaks for 2θ = 10–90°, sorted by position:
- 26.20 deg, I 44, hkl 0 2 4
- 26.76 deg, I 31, hkl 1 3 0
- 27.46 deg, I 44, hkl 1 3 1
- 29.24 deg, I 40, hkl 1 1 3
- 30.37 deg, I 35, hkl 0 6 1
- 31.42 deg, I 36, hkl 0 4 4
- 33.47 deg, I 100, hkl 1 5 0
- 38.32 deg, I 33, hkl 1 1 5
- 45.32 deg, I 33, hkl 2 0 0
- 48.82 deg, I 42, hkl 1 7 4

Crystal structure
```
data_Pu6As4H5
_cell_length_a 4.002
_cell_length_b 18.027
_cell_length_c 14.690
_cell_angle_alpha 90.00
_cell_angle_beta 90.00
_cell_angle_gamma 90.00
_space_group_name_H-M_alt 'C m c 21'
_space_group_IT_number 36
loop_
_space_group_symop_operation_xyz
'x,y,z'
'-x,-y,z+1/2'
'-x,y,z'
'x,-y,z+1/2'
'x+1/2,y+1/2,z'
'-x+1/2,-y+1/2,z+1/2'
'-x+1/2,y+1/2,z'
'x+1/2,-y+1/2,z+1/2'
loop_
_atom_site_label
_atom_site_fract_x
_atom_site_fract_y
_atom_site_fract_z
Pu1 0.000 0.064 0.000
Pu2 0.000 0.080 0.271
Pu3 0.000 0.080 0.729
Pu4 0.000 0.292 0.626
Pu5 0.000 0.293 0.374
Pu6 0.000 0.382 0.000
As1 0.000 0.314 0.823
As2 0.000 0.315 0.177
As3 0.000 0.480 0.634
As4 0.000 0.481 0.366
H1 0.000 0.061 0.503
H2 0.000 0.145 0.124
H3 0.000 0.145 0.876
H4 0.000 0.207 0.500
H5 0.000 0.364 0.500
```

# 2
This entry pairs a crystal structure of Rb2AsH with its simulated X-ray powder pattern. Radiation: Cu Kα X-rays. Structure: the PBE geometry in Alexandria.
Neutral-atom scattering factors, no anomalous dispersion.

Top 10 peaks for 2θ = 10–90°, sorted by position:
- 12.07 deg, I 39, hkl 0 2 0
- 15.62 deg, I 29, hkl 0 2 1
- 17.31 deg, I 16, hkl 1 1 0
- 19.96 deg, I 20, hkl 1 1 1
- 24.28 deg, I 25, hkl 0 4 0
- 26.44 deg, I 55, hkl 1 1 2
- 31.66 deg, I 100, hkl 1 3 2
- 32.75 deg, I 25, hkl 2 0 0
- 40.29 deg, I 16, hkl 0 0 4
- 57.77 deg, I 17, hkl 3 3 2

Crystal structure
```
data_Rb2AsH
_cell_length_a 5.469
_cell_length_b 14.662
_cell_length_c 8.953
_cell_angle_alpha 90.00
_cell_angle_beta 90.00
_cell_angle_gamma 90.00
_space_group_name_H-M_alt 'C m c m'
_space_group_IT_number 63
_space_group_name_Hall '-C 2c 2'
loop_
_atom_site_label
_atom_site_fract_x
_atom_site_fract_y
_atom_site_fract_z
Rb1 0.000 0.149 0.011
As1 0.000 0.327 0.750
H1 0.000 0.433 0.750
```

# 3
This entry pairs a crystal structure of RbTlAsH with its simulated X-ray powder pattern. Radiation: Cu Kα X-rays. Structure: the PBE geometry in Alexandria.
Neutral-atom scattering factors, no anomalous dispersion.

Top 10 peaks for 2θ = 10–90°, sorted by position:
- 14.95 deg, I 19, hkl 0 0 1
- 21.18 deg, I 16, hkl 1 0 0
- 26.02 deg, I 100, hkl 1 0 1
- 37.13 deg, I 69, hkl 1 1 0
- 45.89 deg, I 23, hkl 0 2 1
- 48.55 deg, I 14, hkl 1 1 2
- 51.12 deg, I 16, hkl 1 0 3
- 53.53 deg, I 11, hkl 2 0 2
- 60.44 deg, I 22, hkl 2 1 1
- 66.92 deg, I 18, hkl 3 0 0

Crystal structure
```
data_RbTlAsH
_cell_length_a 4.8448
_cell_length_b 4.8448
_cell_length_c 5.9245
_cell_angle_alpha 90.00
_cell_angle_beta 90.00
_cell_angle_gamma 120.00
_space_group_name_H-M_alt 'P 3 m 1'
_space_group_IT_number 156
loop_
_space_group_symop_operation_xyz
'x,y,z'
'-y,x-y,z'
'-x+y,-x,z'
'-y,-x,z'
'-x+y,y,z'
'x,x-y,z'
loop_
_atom_site_label
_atom_site_fract_x
_atom_site_fract_y
_atom_site_fract_z
Rb1 0.0000 0.0000 0.0000
Tl1 0.3333 0.6667 0.5540
As1 0.6667 0.3333 0.3576
H1 0.6667 0.3333 0.0908
```

# 4
This entry pairs a crystal structure of RbZn2AsH2 with its simulated X-ray powder pattern. Radiation: Cu Kα X-rays. Structure: the PBE geometry in Alexandria.
Neutral-atom scattering factors, no anomalous dispersion.

Top 10 peaks for 2θ = 10–90°, sorted by position:
- 13.15 deg, I 68, hkl 0 0 1
- 13.37 deg, I 55, hkl 1 0 0
- 13.60 deg, I 45, hkl 1 0 -1
- 22.21 deg, I 100, hkl 1 1 -1
- 26.92 deg, I 41, hkl 2 0 0
- 31.90 deg, I 37, hkl 0 1 2
- 32.28 deg, I 37, hkl 2 1 0
- 38.07 deg, I 58, hkl 1 2 -1
- 42.55 deg, I 52, hkl 1 2 1
- 50.71 deg, I 37, hkl 4 0 -3

Crystal structure
```
data_RbZn2AsH2
_cell_length_a 7.521
_cell_length_b 5.074
_cell_length_c 7.648
_cell_angle_alpha 90.00
_cell_angle_beta 118.29
_cell_angle_gamma 90.00
_space_group_name_H-M_alt 'P 1 21/m 1'
_space_group_IT_number 11
loop_
_space_group_symop_operation_xyz
'x,y,z'
'-x,-y,-z'
'-x,y+1/2,-z'
'x,-y+1/2,z'
loop_
_atom_site_label
_atom_site_fract_x
_atom_site_fract_y
_atom_site_fract_z
Rb1 0.182 0.250 0.307
Zn1 0.342 0.000 0.814
As1 0.331 0.750 0.099
H1 0.157 0.250 0.709
H2 0.291 0.750 0.634
```

# 5
This entry pairs a crystal structure of ReAs2H with its simulated X-ray powder pattern. Radiation: Cu Kα X-rays. Structure: the PBE geometry in Alexandria.
Neutral-atom scattering factors, no anomalous dispersion.

Top 10 peaks for 2θ = 10–90°, sorted by position:
- 19.12 deg, I 59, hkl 1 0 1
- 30.17 deg, I 100, hkl 1 1 2
- 32.42 deg, I 34, hkl 1 0 3
- 39.23 deg, I 44, hkl 2 1 1
- 47.63 deg, I 13, hkl 2 1 3
- 48.73 deg, I 23, hkl 2 2 0
- 51.08 deg, I 43, hkl 2 0 4
- 52.81 deg, I 14, hkl 3 0 1
- 58.39 deg, I 27, hkl 3 1 2
- 62.52 deg, I 12, hkl 1 1 6

Crystal structure
```
data_ReAs2H
_cell_length_a 5.285
_cell_length_b 5.285
_cell_length_c 9.715
_cell_angle_alpha 90.00
_cell_angle_beta 90.00
_cell_angle_gamma 90.00
_space_group_name_H-M_alt 'I -4 2 d'
_space_group_IT_number 122
_space_group_name_Hall 'I -4 2bw'
loop_
_atom_site_label
_atom_site_fract_x
_atom_site_fract_y
_atom_site_fract_z
Re1 0.000 0.000 0.000
As1 0.201 0.250 0.625
H1 0.000 0.000 0.500
```

# 6
This entry pairs a crystal structure of AsHS2 with its simulated X-ray powder pattern. Radiation: Cu Kα X-rays. Structure: the PBE geometry in Alexandria.
Neutral-atom scattering factors, no anomalous dispersion.

Top 10 peaks for 2θ = 10–90°, sorted by position:
- 13.80 deg, I 100, hkl 1 1 0
- 22.26 deg, I 12, hkl 2 0 0
- 22.74 deg, I 21, hkl 0 1 1
- 29.21 deg, I 49, hkl 1 2 1
- 30.91 deg, I 11, hkl 2 0 1
- 32.84 deg, I 28, hkl 0 3 1
- 34.74 deg, I 12, hkl 1 3 1
- 37.69 deg, I 15, hkl 3 2 0
- 46.06 deg, I 12, hkl 2 4 1
- 50.62 deg, I 11, hkl 4 0 1

Crystal structure
```
data_AsHS2
_cell_length_a 7.989
_cell_length_b 10.767
_cell_length_c 4.196
_cell_angle_alpha 90.00
_cell_angle_beta 90.00
_cell_angle_gamma 90.00
_space_group_name_H-M_alt 'P n a 21'
_space_group_IT_number 33
loop_
_space_group_symop_operation_xyz
'x,y,z'
'-x,-y,z+1/2'
'-x+1/2,y+1/2,z+1/2'
'x+1/2,-y+1/2,z'
loop_
_atom_site_label
_atom_site_fract_x
_atom_site_fract_y
_atom_site_fract_z
As1 0.080 0.121 0.000
H1 0.062 0.354 0.778
S1 0.049 0.733 0.175
S2 0.169 0.971 0.631
```

# 7
This entry pairs a crystal structure of TlAs2HS with its simulated X-ray powder pattern. Radiation: Cu Kα X-rays. Structure: the PBE geometry in Alexandria.
Neutral-atom scattering factors, no anomalous dispersion.

Top 10 peaks for 2θ = 10–90°, sorted by position:
- 16.33 deg, I 97, hkl 1 0 0
- 24.93 deg, I 68, hkl 0 0 1
- 29.95 deg, I 91, hkl 1 0 1
- 33.00 deg, I 100, hkl 2 0 0
- 37.03 deg, I 27, hkl 2 1 0
- 41.80 deg, I 71, hkl 2 0 1
- 45.16 deg, I 59, hkl 2 1 1
- 47.36 deg, I 36, hkl 2 2 0
- 54.26 deg, I 34, hkl 2 2 1
- 62.23 deg, I 32, hkl 2 0 2

Crystal structure
```
data_TlAs2HS
_cell_length_a 5.429
_cell_length_b 5.429
_cell_length_c 3.571
_cell_angle_alpha 90.00
_cell_angle_beta 90.00
_cell_angle_gamma 90.00
_space_group_name_H-M_alt 'P 4/m m m'
_space_group_IT_number 123
_space_group_name_Hall '-P 4 2'
loop_
_atom_site_label
_atom_site_fract_x
_atom_site_fract_y
_atom_site_fract_z
Tl1 0.000 0.000 0.000
As1 0.000 0.500 0.000
H1 0.000 0.000 0.500
S1 0.500 0.500 0.500
```

# 8
This entry pairs a crystal structure of U2AsH2S with its simulated X-ray powder pattern. Radiation: Cu Kα X-rays. Structure: the PBE geometry in Alexandria.
Neutral-atom scattering factors, no anomalous dispersion.

Top 10 peaks for 2θ = 10–90°, sorted by position:
- 24.20 deg, I 20, hkl 0 0 2
- 29.57 deg, I 100, hkl 0 1 1
- 36.51 deg, I 43, hkl 1 0 2
- 46.06 deg, I 30, hkl 1 0 3
- 47.54 deg, I 29, hkl 1 1 0
- 54.04 deg, I 15, hkl 1 1 2
- 56.98 deg, I 17, hkl 2 0 1
- 71.12 deg, I 17, hkl 1 1 4
- 77.29 deg, I 15, hkl 1 2 1
- 87.47 deg, I 11, hkl 2 1 3

Crystal structure
```
data_U2AsH2S
_cell_length_a 3.8256
_cell_length_b 3.8256
_cell_length_c 7.3544
_cell_angle_alpha 90.00
_cell_angle_beta 90.00
_cell_angle_gamma 120.00
_space_group_name_H-M_alt 'P -3 m 1'
_space_group_IT_number 164
_space_group_name_Hall '-P 3 2"'
loop_
_atom_site_label
_atom_site_fract_x
_atom_site_fract_y
_atom_site_fract_z
U1 0.3333 0.6667 0.2573
As1 0.0000 0.0000 0.0000
H1 0.3333 0.6667 0.7441
S1 0.0000 0.0000 0.5000
```